Starting from a cell relaxed with PBE, the X-ray diffraction stick pattern of Pm3Nd2Ga4 was simulated for copper Kα.

Most intense lines, 2θ = 10–90°, most intense first:
d = 2.845 Å, 31.45 deg, rel. 100; d = 2.830 Å, 31.61 deg, rel. 62; d = 2.931 Å, 30.50 deg, rel. 46; d = 2.561 Å, 35.03 deg, rel. 38; d = 2.417 Å, 37.20 deg, rel. 37; d = 1.974 Å, 45.97 deg, rel. 26; d = 2.630 Å, 34.09 deg, rel. 26; d = 2.758 Å, 32.47 deg, rel. 23; d = 3.105 Å, 28.75 deg, rel. 21; d = 1.698 Å, 54.01 deg, rel. 16

Atomic structure:
```
data_Pm3Nd2Ga4
_cell_length_a 8.2014
_cell_length_b 8.2047
_cell_length_c 7.5927
_cell_angle_alpha 90.00
_cell_angle_beta 105.85
_cell_angle_gamma 90.00
_symmetry_space_group_name_H-M 'P 1 21/c 1'
_symmetry_Int_Tables_number 14
_symmetry_space_group_name_Hall '-P 2ybc'
loop_
_atom_site_label
_atom_site_type_symbol
_atom_site_fract_x
_atom_site_fract_y
_atom_site_fract_z
_atom_site_occupancy
Pm1 Pm 0.0000 0.0000 0.0000 1
Pm2 Pm 0.2640 0.1748 0.7473 1
Nd1 Nd 0.3117 0.6846 0.9274 1
Ga1 Ga 0.0112 0.6224 0.1170 1
Ga2 Ga 0.4198 0.0298 0.1326 1
```



Starting from a cell relaxed with PBE, the X-ray diffraction stick pattern of Pr6PbSe4 was simulated for copper Kα.

Most intense lines, 2θ = 10–90°, most intense first:
d = 3.050 Å, 29.28 deg, rel. 100; d = 3.202 Å, 27.86 deg, rel. 68; d = 3.145 Å, 28.38 deg, rel. 36; d = 2.909 Å, 30.74 deg, rel. 35; d = 2.179 Å, 41.45 deg, rel. 33; d = 1.801 Å, 50.68 deg, rel. 31; d = 2.267 Å, 39.77 deg, rel. 28; d = 2.155 Å, 41.93 deg, rel. 25; d = 2.136 Å, 42.32 deg, rel. 23; d = 3.297 Å, 27.05 deg, rel. 21

Atomic structure:
```
data_Pr6PbSe4
_cell_length_a 4.3572
_cell_length_b 13.9480
_cell_length_c 21.6272
_cell_angle_alpha 90.00
_cell_angle_beta 90.00
_cell_angle_gamma 90.00
_symmetry_space_group_name_H-M 'C m c m'
_symmetry_Int_Tables_number 63
_symmetry_space_group_name_Hall '-C 2c 2'
loop_
_atom_site_label
_atom_site_type_symbol
_atom_site_fract_x
_atom_site_fract_y
_atom_site_fract_z
_atom_site_occupancy
Pr1 Pr 0.0000 0.0000 0.0000 1
Pr2 Pr 0.0000 0.1674 0.2500 1
Pr3 Pr 0.0000 0.2711 0.5847 1
Pr4 Pr 0.0000 0.4564 0.1623 1
Pb1 Pb 0.0000 0.1624 0.7500 1
Se1 Se 0.0000 0.0932 0.1240 1
Se2 Se 0.0000 0.3629 0.0400 1
```